Simulated powder XRD pattern
Compound: Cs2Cu5Se4
Radiation: Cu Kα (weighted mean of Kα1 and Kα2)
Structure: a DFT-relaxed cell (GGA-PBE, the Materials Project)

Structural model:
Cell: 4.0141 19.6095 13.2905 Å, 90.00 90.00 90.00°
Space group Cmcm (No. 63)
Unique sites:
Cs 0.0000 0.0000 0.0000 x4
Cs 0.0000 0.1419 0.2500 x4
Cu 0.0000 0.0840 0.7500 x4
Cu 0.0000 0.2152 0.5412 x8
Cu 0.0000 0.3518 0.1576 x8
Se 0.0000 0.2066 0.7500 x4
Se 0.0000 0.3425 0.5209 x8
Se 0.0000 0.4811 0.2500 x4

The 10 most intense peaks (2θ = 5–70°), most intense first:
2θ (°), I_rel, h k l
29.37, 100, 1 3 2
26.85, 84, 0 0 4
48.99, 54, 1 3 6
45.18, 39, 2 0 0
27.29, 33, 0 6 0
34.71, 30, 1 5 2
32.62, 30, 1 5 1
11.21, 29, 0 2 1
48.00, 28, 1 9 1
40.98, 25, 1 1 5


Simulated powder XRD pattern
Compound: Cs2TiCu2Se4
Radiation: Cu Kα (weighted mean of Kα1 and Kα2)
Structure: a DFT-relaxed cell (GGA-PBE, the Materials Project)

Structural model:
Cell: 5.9135 5.9135 14.5404 Å, 90.00 90.00 90.00°
Space group P4_2/mcm (No. 132)
Unique sites:
Cs 0.2426 0.2426 0.0000 x4
Ti 0.5000 0.5000 0.2500 x2
Cu 0.0000 0.5000 0.2500 x4
Se 0.2601 0.2601 0.3432 x8

The 10 most intense peaks (2θ = 5–70°), most intense first:
2θ (°), I_rel, h k l
28.19, 100, 1 1 3
48.57, 36, 2 0 6
52.45, 34, 3 1 3
43.27, 27, 2 2 0
32.69, 23, 2 0 2
30.23, 19, 2 0 0
61.53, 9, 1 1 9
24.52, 9, 0 0 4
62.86, 9, 4 0 0
58.29, 5, 2 2 6


Simulated powder XRD pattern
Compound: CsVCu3Se4
Radiation: Cu Kα (weighted mean of Kα1 and Kα2)
Structure: a DFT-relaxed cell (GGA-PBE, the Materials Project)

Structural model:
Cell: 8.8673 8.8673 10.8722 Å, 90.00 90.00 120.00°
Space group R3m (No. 160, hexagonal axes)
Unique sites:
Cs 0.0000 0.0000 0.0000 x3
V 0.0000 0.0000 0.5003 x3
Cu 0.9996 0.4998 0.0003 x9
Se 0.0000 0.0000 0.7134 x3
Se 0.1912 0.3825 0.0959 x9

The 10 most intense peaks (2θ = 5–70°), most intense first:
2θ (°), I_rel, h k l
24.58, 100, 0 2 1
40.68, 96, 2 2 0
48.11, 40, 2 0 5
20.02, 25, 1 1 0
35.04, 19, 1 0 4
54.76, 13, 4 1 0
62.86, 13, 3 2 4
58.89, 13, 4 0 4
64.79, 11, 0 4 5
14.12, 7, 1 0 1